This entry pairs a crystal structure of Tb2Pr7Nd3 with its computed powder XRD pattern. Radiation: λ = 1.5418 Å (Cu Kα). Structure: DFT lattice parameters and positions (GGA-PBE).

The 10 most intense peaks (10 to 90 degrees two-theta), low angle first:
h k l	two_theta	intensity
0 0 6	27.6	30.9
2 0 -1	29.8	94.5
1 1 2	30.3	100.0
1 0 -6	30.6	82.2
1 1 -3	31.5	26.0
1 0 6	32.2	47.3
1 1 -4	33.7	37.1
0 2 0	49.9	21.0
3 1 1	52.5	32.7
2 2 -1	59.2	19.3

Crystal structure
```
data_Tb2Pr7Nd3
_chemical_formula_sum 'Tb2 Pr7 Nd3'
_symmetry_space_group_name_H-M 'P 1 2/m 1'
_symmetry_Int_Tables_number 10
_cell_length_a 6.022
_cell_length_b 3.652
_cell_length_c 19.451
_cell_angle_alpha 90.00
_cell_angle_beta 93.24
_cell_angle_gamma 90.00
loop_
_symmetry_equiv_pos_as_xyz
'x,y,z'
'-x,-y,-z'
'-x,y,-z'
'x,-y,z'
loop_
_atom_site_label
_atom_site_fract_x
_atom_site_fract_y
_atom_site_fract_z
Tb1 0.210 0.000 0.296
Pr1 0.183 0.500 0.146
Pr2 0.243 0.000 0.464
Pr3 0.315 0.000 0.818
Pr4 0.500 0.500 0.000
Nd1 0.000 0.000 0.000
Nd2 0.281 0.500 0.634
```



This entry pairs a crystal structure of Tb2PrNd12 with its computed powder XRD pattern. Radiation: λ = 1.5418 Å (Cu Kα). Structure: DFT lattice parameters and positions (GGA-PBE).

The 10 most intense peaks (10 to 90 degrees two-theta), low angle first:
h k l	two_theta	intensity
2 0 4	28.5	22.9
0 2 7	29.2	53.4
2 2 2	29.9	73.6
0 4 0	30.6	72.3
2 2 3	31.0	23.1
0 2 8	32.4	100.0
2 2 6	36.2	35.4
2 0 11	47.0	21.1
2 4 11	57.2	23.0
4 4 0	60.2	20.4

Crystal structure
```
data_Tb2PrNd12
_chemical_formula_sum 'Tb8 Pr4 Nd48'
_symmetry_space_group_name_H-M 'C m m e'
_symmetry_Int_Tables_number 67
_symmetry_space_group_name_Hall '-C 2a 2'
_cell_length_a 7.227
_cell_length_b 11.676
_cell_length_c 25.159
_cell_angle_alpha 90.00
_cell_angle_beta 90.00
_cell_angle_gamma 90.00
loop_
_atom_site_label
_atom_site_fract_x
_atom_site_fract_y
_atom_site_fract_z
Tb1 0.000 0.250 0.228
Tb2 0.000 0.250 0.768
Pr1 0.000 0.250 0.498
Nd1 0.000 0.003 0.576
Nd2 0.000 0.025 0.060
Nd3 0.230 0.250 0.916
Nd4 0.248 0.250 0.368
Nd5 0.250 0.000 0.174
Nd6 0.250 0.000 0.300
```